La4MgIr: computed XRD peak list (copper Kα), based on DFT lattice parameters and positions (GGA-PBE).
No peak broadening, texture or thermal motion is included.

Structure:
```
data_La4MgIr
_space_group_name_H-M_alt 'F -4 3 m'
_space_group_IT_number 216
_space_group_name_Hall 'F -4 2 3'
_cell_length_a 14.4215
_cell_length_b 14.4215
_cell_length_c 14.4215
_cell_angle_alpha 90.00
_cell_angle_beta 90.00
_cell_angle_gamma 90.00
loop_
_atom_site_label
_atom_site_fract_x
_atom_site_fract_y
_atom_site_fract_z
_atom_site_occupancy
La1 0.0000 0.0000 0.1894 1
La2 0.0612 0.2500 0.2500 1
La3 0.0955 0.0955 0.5955 1
Mg1 0.1717 0.1717 0.8283 1
Ir1 0.1089 0.1089 0.3911 1
```

Principal peaks in the range 10° ≤ 2θ ≤ 80°, sorted by position:
- d = 8.326 Å, I 44
- d = 3.309 Å, I 25
- d = 2.944 Å, I 40
- d = 2.775 Å, I 100
- d = 2.549 Å, I 43
- d = 2.019 Å, I 11
- d = 1.878 Å, I 15
- d = 1.700 Å, I 41
- d = 1.665 Å, I 15
- d = 1.394 Å, I 19

LaNdIr2: computed XRD peak list (copper Kα), based on DFT lattice parameters and positions (GGA-PBE).
No peak broadening, texture or thermal motion is included.

Structure:
```
data_LaNdIr2
_space_group_name_H-M_alt 'F m -3 m'
_space_group_IT_number 225
_space_group_name_Hall '-F 4 2 3'
_cell_length_a 7.1580
_cell_length_b 7.1580
_cell_length_c 7.1580
_cell_angle_alpha 90.00
_cell_angle_beta 90.00
_cell_angle_gamma 90.00
loop_
_atom_site_label
_atom_site_fract_x
_atom_site_fract_y
_atom_site_fract_z
_atom_site_occupancy
La1 0.0000 0.0000 0.0000 1
Nd1 0.0000 0.0000 0.5000 1
Ir1 0.2500 0.2500 0.2500 1
```

Principal peaks in the range 10° ≤ 2θ ≤ 80°, sorted by position:
- d = 3.579 Å, I 3
- d = 2.531 Å, I 100
- d = 2.066 Å, I 1
- d = 1.789 Å, I 18
- d = 1.601 Å, I 1
- d = 1.461 Å, I 37
- d = 1.265 Å, I 11